Structure and simulated powder diffractogram of PmDy3Se4 (the GGA-PBE geometry in Alexandria; copper Kα).

Peak list (6 most intense, 5° ≤ 2θ ≤ 70°, by intensity)
- 2θ = 30.78°, I = 100.0, hkl 2 0 0
- 2θ = 44.09°, I = 74.3, hkl 2 2 0
- 2θ = 54.73°, I = 26.1, hkl 2 2 2
- 2θ = 26.57°, I = 20.1, hkl 1 1 1
- 2θ = 64.11°, I = 12.1, hkl 4 0 0
- 2θ = 52.22°, I = 10.0, hkl 3 1 1

a b c (Å): 5.810 5.810 5.810
angles (deg): 90.00 90.00 90.00
Space group Pm-3m (No. 221)
Inequivalent atoms, fractional coordinates:
1 Pm 0.000 0.000 0.000
2 Dy 0.000 0.500 0.500
3 Se 0.000 0.000 0.500
4 Se 0.500 0.500 0.500



Structure and simulated powder diffractogram of PmDy4Se7 (the GGA-PBE geometry in Alexandria; copper Kα).

Peak list (10 most intense, 5° ≤ 2θ ≤ 70°, by intensity)
- 2θ = 31.61°, I = 100.0, hkl 3 1 -2
- 2θ = 22.57°, I = 97.2, hkl 2 0 2
- 2θ = 32.56°, I = 81.2, hkl 3 1 1
- 2θ = 30.06°, I = 80.5, hkl 3 1 -1
- 2θ = 23.20°, I = 70.5, hkl 2 0 -3
- 2θ = 45.53°, I = 60.9, hkl 0 2 0
- 2θ = 36.99°, I = 54.9, hkl 1 1 -4
- 2θ = 39.79°, I = 53.8, hkl 1 1 4
- 2θ = 30.39°, I = 44.5, hkl 3 1 0
- 2θ = 45.10°, I = 43.8, hkl 6 0 -4

a b c (Å): 13.497 3.985 12.262
angles (deg): 90.00 104.30 90.00
Space group Cm (No. 8)
Inequivalent atoms, fractional coordinates:
1 Pm 0.000 0.000 0.000
2 Dy 0.114 0.000 0.423
3 Dy 0.226 0.000 0.841
4 Dy 0.314 0.500 0.236
5 Dy 0.413 0.000 0.607
6 Se 0.072 0.000 0.636
7 Se 0.115 0.500 0.917
8 Se 0.156 0.000 0.210
9 Se 0.273 0.500 0.471
10 Se 0.352 0.500 0.769
11 Se 0.366 0.000 0.071
12 Se 0.455 0.000 0.372



Structure and simulated powder diffractogram of PmDySe (the GGA-PBE geometry in Alexandria; copper Kα).

Peak list (10 most intense, 5° ≤ 2θ ≤ 70°, by intensity)
- 2θ = 29.61°, I = 100.0, hkl 1 0 1
- 2θ = 37.92°, I = 37.6, hkl 0 1 2
- 2θ = 46.45°, I = 27.1, hkl 1 1 0
- 2θ = 49.12°, I = 16.8, hkl 0 1 3
- 2θ = 56.05°, I = 16.6, hkl 0 2 1
- 2θ = 26.81°, I = 11.8, hkl 0 0 2
- 2θ = 54.45°, I = 10.2, hkl 1 1 2
- 2θ = 61.46°, I = 9.1, hkl 2 0 2
- 2θ = 63.44°, I = 7.4, hkl 1 1 3
- 2θ = 69.91°, I = 5.8, hkl 2 0 3

a b c (Å): 3.9097 3.9097 6.6509
angles (deg): 90.00 90.00 120.00
Space group P3m1 (No. 156)
Inequivalent atoms, fractional coordinates:
1 Pm 0.0000 0.0000 0.0000
2 Dy 0.3333 0.6667 0.5542
3 Se 0.6667 0.3333 0.2865



Structure and simulated powder diffractogram of PmDySe3 (the GGA-PBE geometry in Alexandria; copper Kα).

Peak list (10 most intense, 5° ≤ 2θ ≤ 70°, by intensity)
- 2θ = 33.67°, I = 100.0, hkl 2 1 2
- 2θ = 25.08°, I = 60.2, hkl 1 1 1
- 2θ = 37.29°, I = 54.7, hkl 1 1 5
- 2θ = 35.35°, I = 50.5, hkl 0 1 5
- 2θ = 43.88°, I = 47.1, hkl 0 2 0
- 2θ = 35.97°, I = 34.5, hkl 2 1 3
- 2θ = 41.69°, I = 31.2, hkl 3 1 1
- 2θ = 30.07°, I = 30.1, hkl 1 0 5
- 2θ = 24.95°, I = 29.0, hkl 1 0 4
- 2θ = 66.94°, I = 27.4, hkl 2 1 10

a b c (Å): 7.728 4.127 16.097
angles (deg): 90.00 90.00 90.00
Space group Pnma (No. 62)
Inequivalent atoms, fractional coordinates:
1 Pm 0.140 0.250 0.202
2 Dy 0.230 0.750 0.457
3 Se 0.008 0.250 0.394
4 Se 0.122 0.750 0.064
5 Se 0.151 0.250 0.784



Structure and simulated powder diffractogram of SrPmDy4Se8 (the GGA-PBE geometry in Alexandria; copper Kα).

Peak list (10 most intense, 5° ≤ 2θ ≤ 70°, by intensity)
- 2θ = 24.41°, I = 100.0, hkl 0 2 1
- 2θ = 29.49°, I = 91.5, hkl 0 2 4
- 2θ = 42.35°, I = 75.2, hkl 2 2 0
- 2θ = 42.05°, I = 74.5, hkl 2 0 8
- 2θ = 38.66°, I = 53.8, hkl 0 3 3
- 2θ = 24.26°, I = 31.5, hkl 0 1 5
- 2θ = 12.69°, I = 23.9, hkl 1 0 1
- 2θ = 61.21°, I = 23.2, hkl 0 4 8
- 2θ = 38.51°, I = 22.7, hkl 0 2 7
- 2θ = 52.45°, I = 16.8, hkl 4 0 4

a b c (Å): 8.5365 8.5365 21.1291
angles (deg): 90.00 90.00 120.00
Space group R3m (No. 160, hexagonal axes)
Inequivalent atoms, fractional coordinates:
1 Sr 0.0000 0.0000 0.0000
2 Pm 0.0000 0.0000 0.3715
3 Dy 0.0000 0.0000 0.7480
4 Dy 0.0046 0.5023 0.8741
5 Se 0.0000 0.0000 0.1376
6 Se 0.0000 0.0000 0.6157
7 Se 0.0157 0.5079 0.1279
8 Se 0.1825 0.3650 0.9499



Structure and simulated powder diffractogram of PmDy2Si4 (the GGA-PBE geometry in Alexandria; copper Kα).

Peak list (10 most intense, 5° ≤ 2θ ≤ 70°, by intensity)
- 2θ = 32.73°, I = 100.0, hkl 1 1 2
- 2θ = 27.53°, I = 64.5, hkl 1 0 3
- 2θ = 32.98°, I = 57.8, hkl 0 1 5
- 2θ = 52.43°, I = 32.5, hkl 1 1 8
- 2θ = 21.35°, I = 29.2, hkl 0 1 1
- 2θ = 30.55°, I = 28.7, hkl 0 0 6
- 2θ = 51.13°, I = 24.2, hkl 1 2 3
- 2θ = 42.20°, I = 24.2, hkl 0 2 0
- 2θ = 58.35°, I = 22.6, hkl 2 1 5
- 2θ = 37.35°, I = 20.1, hkl 1 1 4

a b c (Å): 3.891 4.283 17.559
angles (deg): 90.00 90.00 90.00
Space group Immm (No. 71)
Inequivalent atoms, fractional coordinates:
1 Pm 0.000 0.000 0.000
2 Dy 0.000 0.500 0.317
3 Si 0.000 0.000 0.433
4 Si 0.000 0.500 0.150